This entry pairs a crystal structure of KMg14C with its theoretical XRD peak list. Radiation: Cu Kα (λ = 1.5418 Å). Structure: a DFT-relaxed cell (PBE, the Materials Project).

Most intense lines, 2θ = 10–90°, low angle first:
2theta, d_spacing, I_rel
32.6, 2.749, 36
34.9, 2.570, 44
35.4, 2.535, 69
37.1, 2.424, 100
48.5, 1.877, 20
55.7, 1.649, 16
67.5, 1.388, 16
71.0, 1.328, 16

Structural model:
```
KMg14C
1.0
10.2781 0.0000 0.0000
0.0000 3.1177 5.8297
0.0000 -3.1177 5.8297
K Mg C
1 14 1
Direct
0.0000 0.0000 0.0000 K
0.0000 0.0127 0.4964 Mg
0.0000 0.4964 0.0127 Mg
0.2210 0.6317 0.6317 Mg
0.2500 0.1478 0.6274 Mg
0.2500 0.6274 0.1478 Mg
0.2686 0.1434 0.1434 Mg
0.5000 0.4791 0.4791 Mg
0.5000 0.4839 0.9734 Mg
0.5000 0.9701 0.9701 Mg
0.5000 0.9734 0.4839 Mg
0.7314 0.1434 0.1434 Mg
0.7500 0.1478 0.6274 Mg
0.7500 0.6274 0.1478 Mg
0.7790 0.6317 0.6317 Mg
0.0000 0.3899 0.3899 C
```